No. 1
Structure and simulated powder diffraction line list of Rb2DyAgCl6 (a DFT-relaxed cell (GGA-PBE, the Materials Project); Cu Kα, 1.54184 Å).
Intensities are scaled so that the largest is 1000.

Principal peaks in the range 10° ≤ 2θ ≤ 80°, in order of rising 2θ:
two_theta  d/Å  I_rel
16.5  5.382  257
23.4  3.806  1000
33.3  2.691  642
41.1  2.197  463
47.8  1.903  436
64.8  1.439  243

Cell and atoms:
```
Rb2DyAgCl6
1.0
0.0000 5.3824 5.3824
5.3824 0.0000 5.3824
5.3824 5.3824 0.0000
Rb Dy Ag Cl
2 1 1 6
Direct
0.2500 0.2500 0.2500
0.7500 0.7500 0.7500
0.0000 0.0000 0.0000
0.5000 0.5000 0.5000
0.2446 0.2446 0.7554
0.2446 0.7554 0.2446
0.2446 0.7554 0.7554
0.7554 0.2446 0.2446
0.7554 0.2446 0.7554
0.7554 0.7554 0.2446
```

No. 2
Structure and simulated powder diffraction line list of LaGeI (a DFT-relaxed cell (GGA-PBE, the Materials Project); Cu Kα, 1.54184 Å).
Intensities are scaled so that the largest is 1000.

Principal peaks in the range 10° ≤ 2θ ≤ 80°, in order of rising 2θ:
two_theta  d/Å  I_rel
24.4  3.652  424
27.8  3.213  654
32.7  2.739  1000
40.7  2.219  579
53.1  1.724  250
63.5  1.466  228

Cell and atoms:
```
LaGeI
1.0
4.4385 0.0000 0.0000
-2.2193 3.8439 0.0000
0.0000 0.0000 11.7117
La Ge I
2 2 2
Direct
0.0000 0.0000 0.1747
0.0000 0.0000 0.8253
0.3333 0.6667 0.9897
0.6667 0.3333 0.0103
0.3333 0.6667 0.3535
0.6667 0.3333 0.6465
```

No. 3
Structure and simulated powder diffraction line list of Zn2SnO4 (a DFT-relaxed cell (GGA-PBE, the Materials Project); Cu Kα, 1.54184 Å).
Intensities are scaled so that the largest is 1000.

Principal peaks in the range 10° ≤ 2θ ≤ 80°, in order of rising 2θ:
two_theta  d/Å  I_rel
28.8  3.100  465
33.9  2.644  1000
51.0  1.790  194
54.4  1.687  369
59.7  1.550  397
70.4  1.337  120

Cell and atoms:
```
Zn2SnO4
1.0
0.0000 4.3839 4.3839
4.3839 0.0000 4.3839
4.3839 4.3839 0.0000
Zn Sn O
4 2 8
Direct
0.0000 0.0000 0.0000
0.0000 0.0000 0.5000
0.0000 0.5000 0.0000
0.5000 0.0000 0.0000
0.3750 0.3750 0.3750
0.6250 0.6250 0.6250
0.2293 0.7569 0.7569
0.2431 0.2431 0.2431
0.2431 0.2431 0.7707
0.2431 0.7707 0.2431
0.7569 0.2293 0.7569
0.7569 0.7569 0.2293
0.7569 0.7569 0.7569
0.7707 0.2431 0.2431
```

No. 4
Structure and simulated powder diffraction line list of K2Li14Zr3O14 (a DFT-relaxed cell (GGA-PBE, the Materials Project); Cu Kα, 1.54184 Å).
Intensities are scaled so that the largest is 1000.

Principal peaks in the range 10° ≤ 2θ ≤ 80°, in order of rising 2θ:
two_theta  d/Å  I_rel
16.5  5.386  1000
22.5  3.952  355
34.3  2.616  226
36.4  2.469  507
38.4  2.343  228
46.5  1.952  208

Cell and atoms:
```
K2Li14Zr3O14
1.0
-3.6792 3.9518 6.3241
3.6792 -3.9518 6.3241
3.6792 3.9518 -6.3241
K Li Zr O
2 14 3 14
Direct
0.0000 0.2408 0.2408
0.0000 0.7592 0.7592
0.0865 0.2291 0.8575
0.2058 0.1362 0.6129
0.2058 0.5928 0.0695
0.3456 0.5000 0.8456
0.3716 0.2291 0.1425
0.4767 0.4072 0.6129
0.4767 0.8638 0.0695
0.5233 0.1362 0.9305
0.5233 0.5928 0.3871
0.6284 0.7709 0.8575
0.6544 0.5000 0.1544
0.7942 0.4072 0.9305
0.7942 0.8638 0.3871
0.9135 0.7709 0.1425
0.2279 0.7279 0.5000
0.5000 0.0000 0.5000
0.7721 0.2721 0.5000
0.0793 0.3707 0.7087
0.1931 0.8724 0.3207
0.2447 0.0304 0.7858
0.2447 0.4589 0.2142
0.3380 0.6293 0.7087
0.4483 0.1276 0.3207
0.5000 0.2877 0.7877
0.5000 0.7123 0.2123
0.5517 0.8724 0.6793
0.6620 0.3707 0.2913
0.7553 0.5411 0.7858
0.7553 0.9696 0.2142
0.8069 0.1276 0.6793
0.9207 0.6293 0.2913
```

No. 5
Structure and simulated powder diffraction line list of Mn11C2N10 (a DFT-relaxed cell (GGA-PBE, the Materials Project); Cu Kα, 1.54184 Å).
Intensities are scaled so that the largest is 1000.

Principal peaks in the range 10° ≤ 2θ ≤ 80°, in order of rising 2θ:
two_theta  d/Å  I_rel
13.9  6.390  730
35.8  2.507  883
37.4  2.405  393
39.9  2.259  511
40.7  2.217  1000
43.8  2.067  536

Cell and atoms:
```
Mn11C2N10
1.0
12.7808 0.0000 0.0000
0.0000 12.7808 0.0000
0.0000 0.0000 2.8412
Mn C N
22 4 20
Direct
0.0000 0.0000 0.0000
0.0055 0.2196 0.5000
0.0737 0.5915 0.5000
0.0915 0.4263 0.0000
0.1553 0.8447 0.0000
0.2196 0.0055 0.5000
0.2804 0.5055 0.0000
0.3447 0.3447 0.5000
0.4085 0.9263 0.5000
0.4263 0.0915 0.0000
0.4945 0.7196 0.0000
0.5000 0.5000 0.5000
0.5055 0.2804 0.0000
0.5737 0.9085 0.0000
0.5915 0.0737 0.5000
0.6553 0.6553 0.5000
0.7196 0.4945 0.0000
0.7804 0.9945 0.5000
0.8447 0.1553 0.0000
0.9085 0.5737 0.0000
0.9263 0.4085 0.5000
0.9945 0.7804 0.5000
0.1971 0.1971 0.0000
0.3029 0.6971 0.5000
0.6971 0.3029 0.5000
0.8029 0.8029 0.0000
0.0161 0.6766 0.0000
0.0832 0.9168 0.5000
0.1278 0.1278 0.0000
0.1766 0.4839 0.5000
0.2352 0.7648 0.5000
0.2648 0.2648 0.0000
0.3234 0.9839 0.0000
0.3722 0.6278 0.5000
0.4168 0.4168 0.0000
0.4839 0.1766 0.5000
0.5161 0.8234 0.5000
0.5832 0.5832 0.0000
0.6278 0.3722 0.5000
0.6766 0.0161 0.0000
0.7352 0.7352 0.0000
0.7648 0.2352 0.5000
0.8234 0.5161 0.5000
0.8722 0.8722 0.0000
0.9168 0.0832 0.5000
0.9839 0.3234 0.0000
```

No. 6
Structure and simulated powder diffraction line list of KZnP2O7 (a DFT-relaxed cell (GGA-PBE, the Materials Project); Cu Kα, 1.54184 Å).
Intensities are scaled so that the largest is 1000.

Principal peaks in the range 10° ≤ 2θ ≤ 80°, in order of rising 2θ:
two_theta  d/Å  I_rel
22.0  4.036  419
22.2  4.010  386
27.0  3.303  350
27.1  3.289  324
28.1  3.173  1000
35.0  2.567  323

Cell and atoms:
```
KZnP2O7
1.0
12.8489 0.0000 0.0000
0.0000 5.1333 0.0000
0.0000 0.0000 10.3767
K Zn P O
4 4 8 28
Direct
0.0000 0.0011 0.0000
0.0000 0.9989 0.5000
0.5000 0.4939 0.7799
0.5000 0.5061 0.2799
0.2482 0.0248 0.7857
0.2482 0.9752 0.2857
0.7518 0.0248 0.7857
0.7518 0.9752 0.2857
0.1133 0.4841 0.2357
0.1133 0.5159 0.7357
0.3855 0.0283 0.0374
0.3855 0.9717 0.5374
0.6145 0.0283 0.0374
0.6145 0.9717 0.5374
0.8867 0.4841 0.2357
0.8867 0.5159 0.7357
0.0000 0.4577 0.8028
0.0000 0.5423 0.3028
0.1121 0.4129 0.5986
0.1121 0.5871 0.0986
0.1258 0.1852 0.2433
0.1258 0.8148 0.7433
0.1913 0.3715 0.8211
0.1913 0.6285 0.3211
0.3087 0.1038 0.4460
0.3087 0.8962 0.9460
0.3726 0.0671 0.6774
0.3726 0.9329 0.1774
0.3841 0.3240 0.0260
0.3841 0.6760 0.5260
0.5000 0.0805 0.4926
0.5000 0.9195 0.9926
0.6159 0.3240 0.0260
0.6159 0.6760 0.5260
0.6274 0.0671 0.6774
0.6274 0.9329 0.1774
0.6913 0.1038 0.4460
0.6913 0.8962 0.9460
0.8087 0.3715 0.8211
0.8087 0.6285 0.3211
0.8742 0.1852 0.2433
0.8742 0.8148 0.7433
0.8879 0.4129 0.5986
0.8879 0.5871 0.0986
```

No. 7
Structure and simulated powder diffraction line list of Ce2Br3N (a DFT-relaxed cell (GGA-PBE, the Materials Project); Cu Kα, 1.54184 Å).
Intensities are scaled so that the largest is 1000.

Principal peaks in the range 10° ≤ 2θ ≤ 80°, in order of rising 2θ:
two_theta  d/Å  I_rel
12.0  7.386  556
26.0  3.431  477
30.9  2.895  818
31.2  2.867  957
33.5  2.674  1000
37.8  2.379  302

Cell and atoms:
```
Ce2Br3N
1.0
-7.3864 7.3864 6.0178
7.3864 -7.3864 6.0178
7.3864 7.3864 -6.0178
Ce Br N
16 24 8
Direct
0.1089 0.3676 0.0790
0.1239 0.2271 0.3450
0.1324 0.7114 0.7413
0.2114 0.9701 0.5790
0.2729 0.1180 0.8969
0.2789 0.6239 0.3969
0.3820 0.7789 0.1550
0.4701 0.3911 0.7587
0.5299 0.6089 0.2413
0.6180 0.2211 0.8450
0.7211 0.3761 0.6031
0.7271 0.8820 0.1031
0.7886 0.0299 0.4210
0.8676 0.2886 0.2587
0.8761 0.7729 0.6550
0.8911 0.6324 0.9210
0.0115 0.9320 0.1642
0.0303 0.6218 0.4409
0.0893 0.5303 0.9085
0.1218 0.1808 0.5915
0.2259 0.9020 0.0152
0.2678 0.8473 0.3358
0.2893 0.2741 0.1761
0.3192 0.4107 0.9409
0.3473 0.5115 0.5795
0.3868 0.2107 0.4848
0.4020 0.8868 0.6761
0.4320 0.7678 0.9205
0.5680 0.2322 0.0795
0.5980 0.1132 0.3239
0.6132 0.7893 0.5152
0.6527 0.4885 0.4205
0.6808 0.5893 0.0591
0.7107 0.7259 0.8239
0.7322 0.1527 0.6642
0.7741 0.0980 0.9848
0.8782 0.8192 0.4085
0.9107 0.4697 0.0915
0.9697 0.3782 0.5591
0.9885 0.0680 0.8358
0.0934 0.3780 0.2730
0.1220 0.8950 0.7154
0.3204 0.5934 0.2154
0.3950 0.1796 0.7730
0.6050 0.8204 0.2270
0.6796 0.4066 0.7846
0.8780 0.1050 0.2846
0.9066 0.6220 0.7270
```

No. 8
Structure and simulated powder diffraction line list of AcCl3 (a DFT-relaxed cell (GGA-PBE, the Materials Project); Cu Kα, 1.54184 Å).
Intensities are scaled so that the largest is 1000.

Principal peaks in the range 10° ≤ 2θ ≤ 80°, in order of rising 2θ:
two_theta  d/Å  I_rel
13.2  6.715  1000
22.9  3.877  613
23.6  3.775  926
33.1  2.705  865
40.3  2.238  322
40.7  2.218  800

Cell and atoms:
```
AcCl3
1.0
7.7542 0.0000 0.0000
-3.8771 6.7153 0.0000
0.0000 0.0000 4.5652
Ac Cl
2 6
Direct
0.3333 0.6667 0.2500
0.6667 0.3333 0.7500
0.0866 0.3920 0.7500
0.3054 0.9134 0.7500
0.3920 0.3054 0.2500
0.6080 0.6946 0.7500
0.6946 0.0866 0.2500
0.9134 0.6080 0.2500
```

No. 9
Structure and simulated powder diffraction line list of FeCu2SnS4 (a DFT-relaxed cell (GGA-PBE, the Materials Project); Cu Kα, 1.54184 Å).
Intensities are scaled so that the largest is 1000.

Principal peaks in the range 10° ≤ 2θ ≤ 80°, in order of rising 2θ:
two_theta  d/Å  I_rel
28.4  3.140  1000
47.0  1.933  199
47.4  1.918  389
55.9  1.646  279
56.5  1.628  135
76.5  1.245  106

Cell and atoms:
```
FeCu2SnS4
1.0
5.4669 0.0000 0.0000
0.0000 5.4669 0.0000
0.0000 0.0000 5.3842
Fe Cu Sn S
1 2 1 4
Direct
0.0000 0.0000 0.0000
0.0000 0.5000 0.5000
0.5000 0.0000 0.5000
0.5000 0.5000 0.0000
0.2355 0.2355 0.2637
0.2355 0.7645 0.7363
0.7645 0.2355 0.7363
0.7645 0.7645 0.2637
```

No. 10
Structure and simulated powder diffraction line list of CsMnI3 (a DFT-relaxed cell (GGA-PBE, the Materials Project); Cu Kα, 1.54184 Å).
Intensities are scaled so that the largest is 1000.

Principal peaks in the range 10° ≤ 2θ ≤ 80°, in order of rising 2θ:
two_theta  d/Å  I_rel
25.4  3.506  221
27.7  3.216  1000
35.7  2.518  255
43.3  2.090  238
46.2  1.964  242
70.1  1.343  245

Cell and atoms:
```
CsMnI3
1.0
8.3587 0.0000 0.0000
-4.1794 7.2389 0.0000
0.0000 0.0000 7.0128
Cs Mn I
2 2 6
Direct
0.3333 0.6667 0.2500
0.6667 0.3333 0.7500
0.0000 0.0000 0.0000
0.0000 0.0000 0.5000
0.1610 0.3220 0.7500
0.1610 0.8390 0.7500
0.3220 0.1610 0.2500
0.6780 0.8390 0.7500
0.8390 0.1610 0.2500
0.8390 0.6780 0.2500
```